This entry pairs a crystal structure of Pr4SbPd with its computed powder XRD pattern. Radiation: CuKα. Structure: a structure optimized by DFT (GGA-PBE).
No peak broadening, texture or thermal motion is included.

Cell and atoms:
```
data_Pr4SbPd
_symmetry_space_group_name_H-M 'P 1'
_symmetry_Int_Tables_number 1
_cell_length_a 10.9166
_cell_length_b 10.9166
_cell_length_c 6.5032
_cell_angle_alpha 90.00
_cell_angle_beta 90.00
_cell_angle_gamma 149.92
loop_
_symmetry_equiv_pos_as_xyz
'x,y,z'
loop_
_atom_site_label
_atom_site_type_symbol
_atom_site_fract_x
_atom_site_fract_y
_atom_site_fract_z
Pr1 Pr 0.0528 0.9472 0.7500
Pr2 Pr 0.2058 0.7942 0.5027
Pr3 Pr 0.2058 0.7942 0.9973
Pr4 Pr 0.3912 0.6088 0.7500
Pr5 Pr 0.6088 0.3912 0.2500
Pr6 Pr 0.7942 0.2058 0.0027
Pr7 Pr 0.7942 0.2058 0.4973
Pr8 Pr 0.9472 0.0528 0.2500
Sb1 Sb 0.3494 0.6506 0.2500
Sb2 Sb 0.6506 0.3494 0.7500
Pd1 Pd 0.0818 0.9182 0.2500
Pd2 Pd 0.9182 0.0818 0.7500
```

Most intense lines, 5 to 70 degrees two-theta, in order of falling intensity:
two_theta, Rel. int.
34.26, 100
31.58, 89
33.70, 80
28.73, 57
26.34, 43
43.21, 38

This entry pairs a crystal structure of Pr2SbPd6 with its computed powder XRD pattern. Radiation: CuKα. Structure: a structure optimized by DFT (GGA-PBE).
No peak broadening, texture or thermal motion is included.

Cell and atoms:
```
data_Pr2SbPd6
_symmetry_space_group_name_H-M 'P 1'
_symmetry_Int_Tables_number 1
_cell_length_a 5.8191
_cell_length_b 5.8191
_cell_length_c 6.3012
_cell_angle_alpha 101.34
_cell_angle_beta 101.34
_cell_angle_gamma 60.82
loop_
_symmetry_equiv_pos_as_xyz
'x,y,z'
loop_
_atom_site_label
_atom_site_type_symbol
_atom_site_fract_x
_atom_site_fract_y
_atom_site_fract_z
Pr1 Pr 0.1414 0.1414 0.3294
Pr2 Pr 0.8586 0.8586 0.6706
Sb1 Sb 0.5000 0.5000 0.5000
Pd1 Pd 0.1009 0.6306 0.1773
Pd2 Pd 0.3694 0.8991 0.8227
Pd3 Pd 0.3725 0.3725 0.8161
Pd4 Pd 0.6275 0.6275 0.1839
Pd5 Pd 0.6306 0.1009 0.1773
Pd6 Pd 0.8991 0.3694 0.8227
```

Most intense lines, 5 to 70 degrees two-theta, in order of falling intensity:
two_theta, Rel. int.
40.22, 100
36.90, 89
36.79, 48
32.32, 47
64.04, 41
41.68, 39

This entry pairs a crystal structure of PrSb4Pd15 with its computed powder XRD pattern. Radiation: CuKα. Structure: a structure optimized by DFT (GGA-PBE).
No peak broadening, texture or thermal motion is included.

Cell and atoms:
```
data_PrSb4Pd15
_symmetry_space_group_name_H-M 'P 1'
_symmetry_Int_Tables_number 1
_cell_length_a 4.1152
_cell_length_b 4.1152
_cell_length_c 20.1898
_cell_angle_alpha 90.00
_cell_angle_beta 90.00
_cell_angle_gamma 90.00
loop_
_symmetry_equiv_pos_as_xyz
'x,y,z'
loop_
_atom_site_label
_atom_site_type_symbol
_atom_site_fract_x
_atom_site_fract_y
_atom_site_fract_z
Pr1 Pr 0.0000 0.0000 0.0000
Sb1 Sb 0.0000 0.0000 0.2034
Sb2 Sb 0.0000 0.0000 0.4013
Sb3 Sb 0.0000 0.0000 0.5987
Sb4 Sb 0.0000 0.0000 0.7966
Pd1 Pd 0.0000 0.5000 0.1085
Pd2 Pd 0.0000 0.5000 0.3037
Pd3 Pd 0.0000 0.5000 0.5000
Pd4 Pd 0.0000 0.5000 0.6963
Pd5 Pd 0.0000 0.5000 0.8915
Pd6 Pd 0.5000 0.0000 0.1085
Pd7 Pd 0.5000 0.0000 0.3037
Pd8 Pd 0.5000 0.0000 0.5000
Pd9 Pd 0.5000 0.0000 0.6963
Pd10 Pd 0.5000 0.0000 0.8915
Pd11 Pd 0.5000 0.5000 0.0000
Pd12 Pd 0.5000 0.5000 0.2077
Pd13 Pd 0.5000 0.5000 0.4020
Pd14 Pd 0.5000 0.5000 0.5980
Pd15 Pd 0.5000 0.5000 0.7923
```

Most intense lines, 5 to 70 degrees two-theta, in order of falling intensity:
two_theta, Rel. int.
38.12, 100
44.01, 34
64.68, 19
44.89, 15
63.99, 11
35.60, 1

This entry pairs a crystal structure of PrSb3Pd4 with its computed powder XRD pattern. Radiation: CuKα. Structure: a structure optimized by DFT (GGA-PBE).
No peak broadening, texture or thermal motion is included.

Cell and atoms:
```
data_PrSb3Pd4
_symmetry_space_group_name_H-M 'P 1'
_symmetry_Int_Tables_number 1
_cell_length_a 13.7472
_cell_length_b 4.6787
_cell_length_c 5.5564
_cell_angle_alpha 90.00
_cell_angle_beta 108.22
_cell_angle_gamma 90.00
loop_
_symmetry_equiv_pos_as_xyz
'x,y,z'
loop_
_atom_site_label
_atom_site_type_symbol
_atom_site_fract_x
_atom_site_fract_y
_atom_site_fract_z
Pr1 Pr 0.0000 0.0000 0.0000
Pr2 Pr 0.5000 0.5000 0.0000
Sb1 Sb 0.0000 0.5000 0.5000
Sb2 Sb 0.1852 0.5000 0.1257
Sb3 Sb 0.3148 0.0000 0.8743
Sb4 Sb 0.5000 0.0000 0.5000
Sb5 Sb 0.6852 0.0000 0.1257
Sb6 Sb 0.8148 0.5000 0.8743
Pd1 Pd 0.1090 0.0000 0.5860
Pd2 Pd 0.2376 0.5000 0.6663
Pd3 Pd 0.2624 0.0000 0.3337
Pd4 Pd 0.3910 0.5000 0.4140
Pd5 Pd 0.6090 0.5000 0.5860
Pd6 Pd 0.7376 0.0000 0.6663
Pd7 Pd 0.7624 0.5000 0.3337
Pd8 Pd 0.8910 0.0000 0.4140
```

Most intense lines, 5 to 70 degrees two-theta, in order of falling intensity:
two_theta, Rel. int.
38.49, 100
36.11, 73
32.37, 61
39.53, 40
51.14, 33
29.23, 18

This entry pairs a crystal structure of Pr2SnSb3Pd4 with its computed powder XRD pattern. Radiation: CuKα. Structure: a structure optimized by DFT (GGA-PBE).
No peak broadening, texture or thermal motion is included.

Cell and atoms:
```
data_Pr2SnSb3Pd4
_symmetry_space_group_name_H-M 'P 1'
_symmetry_Int_Tables_number 1
_cell_length_a 4.5367
_cell_length_b 4.5367
_cell_length_c 11.1043
_cell_angle_alpha 90.00
_cell_angle_beta 90.00
_cell_angle_gamma 90.00
loop_
_symmetry_equiv_pos_as_xyz
'x,y,z'
loop_
_atom_site_label
_atom_site_type_symbol
_atom_site_fract_x
_atom_site_fract_y
_atom_site_fract_z
Pr1 Pr 0.0000 0.5000 0.2365
Pr2 Pr 0.5000 0.0000 0.7635
Sn1 Sn 0.0000 0.0000 0.5000
Sb1 Sb 0.0000 0.5000 0.8693
Sb2 Sb 0.5000 0.0000 0.1307
Sb3 Sb 0.5000 0.5000 0.5000
Pd1 Pd 0.0000 0.0000 0.0000
Pd2 Pd 0.0000 0.5000 0.6352
Pd3 Pd 0.5000 0.0000 0.3648
Pd4 Pd 0.5000 0.5000 0.0000
```

Most intense lines, 5 to 70 degrees two-theta, in order of falling intensity:
two_theta, Rel. int.
32.23, 100
39.74, 64
31.19, 52
57.46, 32
43.09, 30
67.43, 30

This entry pairs a crystal structure of PrSc4Pd5 with its computed powder XRD pattern. Radiation: CuKα. Structure: a structure optimized by DFT (GGA-PBE).
No peak broadening, texture or thermal motion is included.

Cell and atoms:
```
data_PrSc4Pd5
_symmetry_space_group_name_H-M 'P 1'
_symmetry_Int_Tables_number 1
_cell_length_a 3.3299
_cell_length_b 3.3299
_cell_length_c 17.3311
_cell_angle_alpha 90.00
_cell_angle_beta 90.00
_cell_angle_gamma 90.00
loop_
_symmetry_equiv_pos_as_xyz
'x,y,z'
loop_
_atom_site_label
_atom_site_type_symbol
_atom_site_fract_x
_atom_site_fract_y
_atom_site_fract_z
Pr1 Pr 0.0000 0.0000 0.0000
Sc1 Sc 0.0000 0.0000 0.2123
Sc2 Sc 0.0000 0.0000 0.4047
Sc3 Sc 0.0000 0.0000 0.5953
Sc4 Sc 0.0000 0.0000 0.7877
Pd1 Pd 0.5000 0.5000 0.1266
Pd2 Pd 0.5000 0.5000 0.3109
Pd3 Pd 0.5000 0.5000 0.5000
Pd4 Pd 0.5000 0.5000 0.6891
Pd5 Pd 0.5000 0.5000 0.8734
```

Most intense lines, 5 to 70 degrees two-theta, in order of falling intensity:
two_theta, Rel. int.
37.45, 100
38.22, 59
68.59, 32
55.17, 20
30.98, 15
33.95, 11

This entry pairs a crystal structure of PrPd3Se4 with its computed powder XRD pattern. Radiation: CuKα. Structure: a structure optimized by DFT (GGA-PBE).
No peak broadening, texture or thermal motion is included.

Cell and atoms:
```
data_PrPd3Se4
_symmetry_space_group_name_H-M 'P 1'
_symmetry_Int_Tables_number 1
_cell_length_a 7.1066
_cell_length_b 7.1066
_cell_length_c 7.1066
_cell_angle_alpha 90.00
_cell_angle_beta 90.00
_cell_angle_gamma 90.00
loop_
_symmetry_equiv_pos_as_xyz
'x,y,z'
loop_
_atom_site_label
_atom_site_type_symbol
_atom_site_fract_x
_atom_site_fract_y
_atom_site_fract_z
Pr1 Pr 0.0000 0.0000 0.0000
Pr2 Pr 0.5000 0.5000 0.5000
Pd1 Pd 0.0000 0.2500 0.5000
Pd2 Pd 0.0000 0.7500 0.5000
Pd3 Pd 0.2500 0.5000 0.0000
Pd4 Pd 0.5000 0.0000 0.2500
Pd5 Pd 0.5000 0.0000 0.7500
Pd6 Pd 0.7500 0.5000 0.0000
Se1 Se 0.2500 0.2500 0.2500
Se2 Se 0.2500 0.2500 0.7500
Se3 Se 0.2500 0.7500 0.2500
Se4 Se 0.2500 0.7500 0.7500
Se5 Se 0.7500 0.2500 0.2500
Se6 Se 0.7500 0.2500 0.7500
Se7 Se 0.7500 0.7500 0.2500
Se8 Se 0.7500 0.7500 0.7500
```

Most intense lines, 5 to 70 degrees two-theta, in order of falling intensity:
two_theta, Rel. int.
30.82, 100
28.08, 96
35.74, 66
47.89, 58
51.43, 58
44.15, 49

This entry pairs a crystal structure of Pr8Te4PdSe3 with its computed powder XRD pattern. Radiation: CuKα. Structure: a structure optimized by DFT (GGA-PBE).
No peak broadening, texture or thermal motion is included.

Cell and atoms:
```
data_Pr8Te4PdSe3
_symmetry_space_group_name_H-M 'P 1'
_symmetry_Int_Tables_number 1
_cell_length_a 8.8831
_cell_length_b 8.8831
_cell_length_c 8.8831
_cell_angle_alpha 59.04
_cell_angle_beta 59.04
_cell_angle_gamma 59.04
loop_
_symmetry_equiv_pos_as_xyz
'x,y,z'
loop_
_atom_site_label
_atom_site_type_symbol
_atom_site_fract_x
_atom_site_fract_y
_atom_site_fract_z
Pr1 Pr 0.2405 0.2405 0.2405
Pr2 Pr 0.2463 0.7390 0.7390
Pr3 Pr 0.2610 0.2610 0.7537
Pr4 Pr 0.2610 0.7537 0.2610
Pr5 Pr 0.7390 0.2463 0.7390
Pr6 Pr 0.7390 0.7390 0.2463
Pr7 Pr 0.7537 0.2610 0.2610
Pr8 Pr 0.7595 0.7595 0.7595
Te1 Te 0.0000 0.0000 0.0000
Te2 Te 0.0000 0.5000 0.5000
Te3 Te 0.5000 0.0000 0.5000
Te4 Te 0.5000 0.5000 0.0000
Pd1 Pd 0.5000 0.5000 0.5000
Se1 Se 0.0000 0.0000 0.5000
Se2 Se 0.0000 0.5000 0.0000
Se3 Se 0.5000 0.0000 0.0000
```

Most intense lines, 5 to 70 degrees two-theta, in order of falling intensity:
two_theta, Rel. int.
28.64, 100
41.25, 38
40.63, 36
50.99, 20
67.59, 17
66.71, 14

This entry pairs a crystal structure of Pr2Si6Pd21 with its computed powder XRD pattern. Radiation: CuKα. Structure: a structure optimized by DFT (GGA-PBE).
No peak broadening, texture or thermal motion is included.

Cell and atoms:
```
data_Pr2Si6Pd21
_symmetry_space_group_name_H-M 'P 1'
_symmetry_Int_Tables_number 1
_cell_length_a 8.7084
_cell_length_b 8.7084
_cell_length_c 8.7084
_cell_angle_alpha 60.00
_cell_angle_beta 60.00
_cell_angle_gamma 60.00
loop_
_symmetry_equiv_pos_as_xyz
'x,y,z'
loop_
_atom_site_label
_atom_site_type_symbol
_atom_site_fract_x
_atom_site_fract_y
_atom_site_fract_z
Pr1 Pr 0.2500 0.2500 0.2500
Pr2 Pr 0.7500 0.7500 0.7500
Si1 Si 0.2358 0.2358 0.7642
Si2 Si 0.2358 0.7642 0.2358
Si3 Si 0.2358 0.7642 0.7642
Si4 Si 0.7642 0.2358 0.2358
Si5 Si 0.7642 0.2358 0.7642
Si6 Si 0.7642 0.7642 0.2358
Pd1 Pd 0.1144 0.1144 0.1144
Pd2 Pd 0.1144 0.1144 0.6568
Pd3 Pd 0.1144 0.6568 0.1144
Pd4 Pd 0.1557 0.5000 0.5000
Pd5 Pd 0.1557 0.5000 0.8443
Pd6 Pd 0.1557 0.8443 0.5000
Pd7 Pd 0.3432 0.8856 0.8856
Pd8 Pd 0.5000 0.1557 0.5000
Pd9 Pd 0.5000 0.1557 0.8443
Pd10 Pd 0.5000 0.5000 0.1557
Pd11 Pd 0.5000 0.5000 0.5000
Pd12 Pd 0.5000 0.5000 0.8443
Pd13 Pd 0.5000 0.8443 0.1557
Pd14 Pd 0.5000 0.8443 0.5000
Pd15 Pd 0.6568 0.1144 0.1144
Pd16 Pd 0.8443 0.1557 0.5000
Pd17 Pd 0.8443 0.5000 0.1557
Pd18 Pd 0.8443 0.5000 0.5000
Pd19 Pd 0.8856 0.3432 0.8856
Pd20 Pd 0.8856 0.8856 0.3432
Pd21 Pd 0.8856 0.8856 0.8856
```

Most intense lines, 5 to 70 degrees two-theta, in order of falling intensity:
two_theta, Rel. int.
37.96, 100
35.72, 30
41.48, 29
64.17, 29
32.51, 28
43.47, 28

This entry pairs a crystal structure of PrSi3Pd5 with its computed powder XRD pattern. Radiation: CuKα. Structure: a structure optimized by DFT (GGA-PBE).
No peak broadening, texture or thermal motion is included.

Cell and atoms:
```
data_PrSi3Pd5
_symmetry_space_group_name_H-M 'P 1'
_symmetry_Int_Tables_number 1
_cell_length_a 6.5654
_cell_length_b 6.5654
_cell_length_c 12.6616
_cell_angle_alpha 90.00
_cell_angle_beta 90.00
_cell_angle_gamma 145.07
loop_
_symmetry_equiv_pos_as_xyz
'x,y,z'
loop_
_atom_site_label
_atom_site_type_symbol
_atom_site_fract_x
_atom_site_fract_y
_atom_site_fract_z
Pr1 Pr 0.1509 0.8491 0.7500
Pr2 Pr 0.8491 0.1509 0.2500
Si1 Si 0.1192 0.8808 0.2500
Si2 Si 0.3867 0.6133 0.0400
Si3 Si 0.3867 0.6133 0.4600
Si4 Si 0.6133 0.3867 0.5400
Si5 Si 0.6133 0.3867 0.9600
Si6 Si 0.8808 0.1192 0.7500
Pd1 Pd 0.0000 0.0000 0.0000
Pd2 Pd 0.0000 0.0000 0.5000
Pd3 Pd 0.2063 0.7937 0.0747
Pd4 Pd 0.2063 0.7937 0.4253
Pd5 Pd 0.4458 0.5542 0.6452
Pd6 Pd 0.4458 0.5542 0.8548
Pd7 Pd 0.5542 0.4458 0.1452
Pd8 Pd 0.5542 0.4458 0.3548
Pd9 Pd 0.7937 0.2063 0.5747
Pd10 Pd 0.7937 0.2063 0.9253
```

Most intense lines, 5 to 70 degrees two-theta, in order of falling intensity:
two_theta, Rel. int.
31.88, 100
37.13, 67
46.07, 55
32.02, 40
25.45, 39
31.21, 36

This entry pairs a crystal structure of Pr2Si7Pd12 with its computed powder XRD pattern. Radiation: CuKα. Structure: a structure optimized by DFT (GGA-PBE).
No peak broadening, texture or thermal motion is included.

Cell and atoms:
```
data_Pr2Si7Pd12
_symmetry_space_group_name_H-M 'P 1'
_symmetry_Int_Tables_number 1
_cell_length_a 10.0552
_cell_length_b 10.0552
_cell_length_c 3.9084
_cell_angle_alpha 90.00
_cell_angle_beta 90.00
_cell_angle_gamma 120.00
loop_
_symmetry_equiv_pos_as_xyz
'x,y,z'
loop_
_atom_site_label
_atom_site_type_symbol
_atom_site_fract_x
_atom_site_fract_y
_atom_site_fract_z
Pr1 Pr 0.3333 0.6667 0.2533
Pr2 Pr 0.6667 0.3333 0.7467
Si1 Si 0.0000 0.0000 0.0000
Si2 Si 0.1137 0.7104 0.7497
Si3 Si 0.2896 0.4033 0.7497
Si4 Si 0.4033 0.1137 0.2503
Si5 Si 0.5967 0.8863 0.7497
Si6 Si 0.7104 0.5967 0.2503
Si7 Si 0.8863 0.2896 0.2503
Pd1 Pd 0.0596 0.4397 0.7488
Pd2 Pd 0.1117 0.2565 0.2500
Pd3 Pd 0.1448 0.8883 0.2500
Pd4 Pd 0.2565 0.1448 0.7500
Pd5 Pd 0.3801 0.9404 0.7488
Pd6 Pd 0.4397 0.3801 0.2512
Pd7 Pd 0.5603 0.6199 0.7488
Pd8 Pd 0.6199 0.0596 0.2512
Pd9 Pd 0.7435 0.8552 0.2500
Pd10 Pd 0.8552 0.1117 0.7500
Pd11 Pd 0.8883 0.7435 0.7500
Pd12 Pd 0.9404 0.5603 0.2512
```

Most intense lines, 5 to 70 degrees two-theta, in order of falling intensity:
two_theta, Rel. int.
35.67, 100
47.86, 18
27.09, 14
46.47, 14
45.40, 12
44.08, 10

This entry pairs a crystal structure of PrSi2Pd with its computed powder XRD pattern. Radiation: CuKα. Structure: a structure optimized by DFT (GGA-PBE).
No peak broadening, texture or thermal motion is included.

Cell and atoms:
```
data_PrSi2Pd
_symmetry_space_group_name_H-M 'P 1'
_symmetry_Int_Tables_number 1
_cell_length_a 7.3564
_cell_length_b 4.0124
_cell_length_c 10.3533
_cell_angle_alpha 90.00
_cell_angle_beta 90.00
_cell_angle_gamma 90.00
loop_
_symmetry_equiv_pos_as_xyz
'x,y,z'
loop_
_atom_site_label
_atom_site_type_symbol
_atom_site_fract_x
_atom_site_fract_y
_atom_site_fract_z
Pr1 Pr 0.1370 0.2500 0.1296
Pr2 Pr 0.3630 0.7500 0.6296
Pr3 Pr 0.6370 0.2500 0.3704
Pr4 Pr 0.8630 0.7500 0.8704
Si1 Si 0.1707 0.2500 0.8219
Si2 Si 0.2111 0.2500 0.4289
Si3 Si 0.2889 0.7500 0.9289
Si4 Si 0.3293 0.7500 0.3219
Si5 Si 0.6707 0.2500 0.6781
Si6 Si 0.7111 0.2500 0.0711
Si7 Si 0.7889 0.7500 0.5711
Si8 Si 0.8293 0.7500 0.1781
Pd1 Pd 0.0027 0.2500 0.6180
Pd2 Pd 0.4973 0.7500 0.1180
Pd3 Pd 0.5027 0.2500 0.8820
Pd4 Pd 0.9973 0.7500 0.3820
```

Most intense lines, 5 to 70 degrees two-theta, in order of falling intensity:
two_theta, Rel. int.
30.70, 100
33.04, 40
34.66, 36
45.20, 24
36.45, 23
37.70, 21